1.
Diffraction record for LaGaNiPd. The X-ray powder pattern is theoretical, not measured: it uses a GGA-PBE-relaxed structure and Cu Kα.

Most intense lines, 10° ≤ 2θ ≤ 90°, sorted by position:
index, 2θ (°), I (rel.)
1 0 0, 23.66, 19.2
1 0 1, 25.41, 16.2
1 0 2, 30.11, 16.7
1 0 3, 36.73, 100.0
1 1 0, 41.59, 77.6
2 0 3, 56.68, 27.8
1 1 4, 57.02, 18.6
1 0 6, 62.74, 11.4
2 1 3, 72.70, 25.9
3 0 0, 75.89, 12.6

Structural model:
```
LaGaNiPd
1.0
4.3428 0.0000 0.0000
-2.1714 3.7610 0.0000
0.0000 0.0000 9.6665
La Ga Ni Pd
2 2 2 2
Cartesian
0.0000 0.0000 0.0000
0.0000 2.5073 4.8332
2.1714 1.2537 2.5526
2.1714 1.2537 7.1138
0.0000 0.0000 2.9467
0.0000 0.0000 6.7197
0.0000 2.5073 1.7932
0.0000 2.5073 7.8733
```

2.
Diffraction record for GdTmSi2Pt4. The X-ray powder pattern is theoretical, not measured: it uses a GGA-PBE-relaxed structure and Cu Kα.

Most intense lines, 10° ≤ 2θ ≤ 90°, sorted by position:
index, 2θ (°), I (rel.)
1 1 1, 27.68, 20.3
2 0 2, 30.66, 17.0
0 1 3, 35.15, 91.2
2 1 1, 35.41, 100.0
1 0 4, 37.44, 48.5
3 0 2, 42.04, 39.4
2 0 4, 43.67, 45.9
3 1 1, 45.78, 19.1
0 2 0, 46.99, 30.5
3 1 5, 64.92, 49.7

Structural model:
```
GdTmSi2Pt4
1.0
7.1095 0.0000 0.0000
0.0000 3.8671 0.0000
0.0000 0.0000 10.1998
Gd Tm Si Pt
2 2 4 8
Cartesian
0.0000 0.0000 0.0000
0.0000 1.9336 5.0999
3.5547 0.0000 9.1439
3.5547 1.9336 4.0440
0.0000 0.0000 7.3155
0.0000 1.9336 2.2156
3.5547 0.0000 1.8238
3.5547 1.9336 6.9237
1.4333 0.0000 3.1098
1.4333 1.9336 8.2097
2.1432 0.0000 6.0214
2.1432 1.9336 0.9215
4.9663 0.0000 6.0214
4.9663 1.9336 0.9215
5.6762 0.0000 3.1098
5.6762 1.9336 8.2097
```

3.
Diffraction record for LaRe3. The X-ray powder pattern is theoretical, not measured: it uses a GGA-PBE-relaxed structure and Cu Kα.

Most intense lines, 10° ≤ 2θ ≤ 90°, sorted by position:
index, 2θ (°), I (rel.)
0 2 2, 30.45, 72.4
1 1 3, 37.71, 55.0
0 0 4, 39.38, 22.7
2 0 0, 40.85, 100.0
2 2 2, 51.76, 11.4
2 2 3, 56.80, 16.9
2 0 4, 58.04, 44.3
2 4 3, 72.35, 11.0
3 3 0, 74.32, 11.6
1 1 7, 77.08, 12.7

Structural model:
```
LaRe3
1.0
4.4245 0.0000 0.0000
0.0000 7.6411 0.0000
0.0000 0.0000 9.1525
La Re
4 12
Cartesian
0.0000 1.2712 2.2881
0.0000 6.3699 6.8644
2.2123 2.5493 6.8644
2.2123 5.0918 2.2881
0.0000 1.2771 4.9158
0.0000 1.2771 8.8129
0.0000 3.8217 2.2881
0.0000 3.8194 6.8644
0.0000 6.3640 0.3396
0.0000 6.3640 4.2367
2.2123 0.0012 2.2881
2.2123 7.6399 6.8644
2.2123 2.5434 0.3396
2.2123 2.5434 4.2367
2.2123 5.0977 4.9158
2.2123 5.0977 8.8129
```

4.
Diffraction record for La2MgCd3Pd2. The X-ray powder pattern is theoretical, not measured: it uses a GGA-PBE-relaxed structure and Cu Kα.

Most intense lines, 10° ≤ 2θ ≤ 90°, sorted by position:
index, 2θ (°), I (rel.)
1 1 2, 30.76, 100.0
3 1 0, 33.49, 18.9
3 1 -1, 35.15, 75.7
2 0 -3, 36.19, 23.5
4 0 1, 36.71, 29.4
1 1 3, 38.98, 26.6
3 1 -2, 39.79, 17.3
4 0 2, 41.19, 17.8
0 2 0, 41.84, 33.7
3 1 -5, 64.89, 17.0

Structural model:
```
La2MgCd3Pd2
1.0
10.2256 0.0000 0.0000
0.0000 4.3183 0.0000
-0.0061 0.0000 8.5172
La Mg Cd Pd
4 2 6 4
Cartesian
0.0000 0.0000 0.0000
1.2856 0.0000 4.2249
5.1128 2.1592 0.0000
6.3984 2.1592 4.2249
4.1602 0.0000 5.9545
9.2730 2.1592 5.9545
2.0601 2.1592 6.7873
2.1501 2.1592 1.7059
4.2813 0.0000 2.5552
7.1729 0.0000 6.7873
7.2629 0.0000 1.7059
9.3941 2.1592 2.5552
2.9360 0.0000 8.4900
3.5128 2.1592 4.3121
8.0488 2.1592 8.4900
8.6256 0.0000 4.3121
```

5.
Diffraction record for Pm4BiS3. The X-ray powder pattern is theoretical, not measured: it uses a GGA-PBE-relaxed structure and Cu Kα.

Most intense lines, 10° ≤ 2θ ≤ 90°, sorted by position:
index, 2θ (°), I (rel.)
1 0 0, 14.92, 18.1
1 1 0, 21.16, 16.8
1 1 1, 25.99, 18.8
2 0 0, 30.09, 100.0
2 1 0, 33.75, 11.1
2 2 0, 43.08, 74.6
2 2 2, 53.44, 26.3
4 0 0, 62.56, 12.3
4 2 0, 70.97, 33.9
4 2 2, 78.97, 25.5

Structural model:
```
Pm4BiS3
1.0
5.9391 0.0000 0.0000
0.0000 5.9391 0.0000
0.0000 0.0000 5.9391
Pm Bi S
4 1 3
Cartesian
0.0000 0.0000 0.0000
0.0000 2.9696 2.9696
2.9696 0.0000 2.9696
2.9696 2.9696 0.0000
2.9696 2.9696 2.9696
0.0000 0.0000 2.9696
0.0000 2.9696 0.0000
2.9696 0.0000 0.0000
```